(1)
Computed powder diffraction line list
Compound: LiMoAs2Br
Radiation: Cu Ka
Structure: a cell relaxed with PBE

Most intense lines, 2θ = 10–90°, by angle:
(hkl)	d (Å)	2θ (°)	Rel. int.
0 0 1	5.737	15.4	668
1 0 0	4.807	18.5	1000
1 1 1	2.924	30.6	384
0 0 2	2.869	31.2	509
1 0 2	2.463	36.5	350
2 0 0	2.403	37.4	617
2 0 1	2.217	40.7	231
2 1 0	2.150	42.0	232
2 0 2	1.842	49.5	543
2 2 2	1.462	63.6	252

Cell: 4.8069 4.8069 5.7371 Å, 90.00 90.00 90.00°
Space group P4/mmm (No. 123)
Symmetry-distinct sites (fractional):
Li  0.0000  0.0000  0.0000 (multiplicity 1)
Mo  0.5000  0.5000  0.5000 (multiplicity 1)
As  0.0000  0.5000  0.5000 (multiplicity 2)
Br  0.5000  0.5000  0.0000 (multiplicity 1)

=====

(2)
Computed powder diffraction line list
Compound: PmYZnCd
Radiation: Cu Ka
Structure: a cell relaxed with PBE

Most intense lines, 2θ = 10–90°, by angle:
(hkl)	d (Å)	2θ (°)	Rel. int.
1 1 1	4.291	20.7	64
2 0 0	3.716	23.9	18
2 2 0	2.628	34.1	1000
3 1 1	2.241	40.2	36
4 0 0	1.858	49.0	176
3 3 1	1.705	53.8	16
4 2 2	1.517	61.1	357
5 1 1	1.430	65.2	12
4 4 0	1.314	71.9	109
6 2 0	1.175	82.0	152

Cell: 7.4327 7.4327 7.4327 Å, 90.00 90.00 90.00°
Space group F-43m (No. 216)
Symmetry-distinct sites (fractional):
Pm  0.0000  0.0000  0.0000 (multiplicity 4)
Y  0.0000  0.0000  0.5000 (multiplicity 4)
Zn  0.2500  0.2500  0.7500 (multiplicity 4)
Cd  0.2500  0.2500  0.2500 (multiplicity 4)

=====

(3)
Computed powder diffraction line list
Compound: RbCe2IO8
Radiation: Cu Ka
Structure: a cell relaxed with PBE

Most intense lines, 2θ = 10–90°, by angle:
(hkl)	d (Å)	2θ (°)	Rel. int.
1 1 -1	4.534	19.6	424
2 0 0	3.993	22.3	960
0 2 0	3.419	26.1	764
1 1 -2	3.226	27.7	1000
1 1 2	2.868	31.2	738
2 2 0	2.597	34.5	341
3 1 -2	2.258	39.9	229
1 3 -2	1.935	47.0	379
3 1 2	1.917	47.4	336
1 3 2	1.849	49.3	256

Cell: 8.1331 6.8387 7.6028 Å, 90.00 100.94 90.00°
Space group C2/m (No. 12)
Symmetry-distinct sites (fractional):
Rb  0.0000  0.0000  0.0000 (multiplicity 2)
Ce  0.0469  0.5000  0.2347 (multiplicity 4)
I  0.0000  0.0000  0.5000 (multiplicity 2)
O  0.0126  0.1975  0.6800 (multiplicity 8)
O  0.1545  0.5000  0.0017 (multiplicity 4)
O  0.2371  0.0000  0.5325 (multiplicity 4)

=====

(4)
Computed powder diffraction line list
Compound: CrReW
Radiation: Cu Ka
Structure: a cell relaxed with PBE

Most intense lines, 2θ = 10–90°, by angle:
(hkl)	d (Å)	2θ (°)	Rel. int.
0 0 2	4.581	19.4	83
1 0 1	2.909	30.7	158
1 1 0	2.166	41.7	1000
1 1 2	1.960	46.3	38
1 1 4	1.574	58.6	50
2 0 0	1.534	60.4	112
0 0 6	1.527	60.7	54
2 1 1	1.357	69.3	35
2 1 3	1.251	76.1	226
1 1 6	1.249	76.3	111

Cell: 3.0673 3.0673 9.1610 Å, 90.00 90.00 90.00°
Space group I4mm (No. 107)
Symmetry-distinct sites (fractional):
Cr  0.0000  0.0000  0.0000 (multiplicity 2)
Re  0.0000  0.0000  0.3335 (multiplicity 2)
W  0.0000  0.0000  0.6597 (multiplicity 2)

=====

> What is the formula in the third record?

RbCe2IO8